(1)
Starting from a PBE-relaxed structure, the X-ray powder pattern of Cs2MoBr6 was calculated for Cu Kα.

Principal peaks in the range 2θ = 10–80°, by angle:
2θ (°)	d (Å)	intensity	index
13.84	6.400	31	1 1 1
22.69	3.919	25	2 2 0
27.88	3.200	100	2 2 2
32.30	2.771	86	4 0 0
46.33	1.960	59	4 4 0
54.94	1.671	39	6 2 2
57.61	1.600	19	4 4 4
76.93	1.239	23	8 4 0

Structural model:
a b c (Å): 11.0852 11.0852 11.0852
angles (deg): 90.00 90.00 90.00
Space group Fm-3m (No. 225)
Symmetry-distinct sites (fractional):
Cs (0.2500, 0.2500, 0.2500) [8 per cell]
Mo (0.0000, 0.0000, 0.0000) [4 per cell]
Br (0.0000, 0.0000, 0.2316) [24 per cell]

(2)
Starting from a PBE-relaxed structure, the X-ray powder pattern of Cs2NaMoBr6 was calculated for Cu Kα.

Principal peaks in the range 2θ = 10–80°, by angle:
2θ (°)	d (Å)	intensity	index
13.71	6.460	20	1 1 1
22.48	3.956	33	2 2 0
27.62	3.230	100	2 2 2
32.00	2.797	98	4 0 0
45.88	1.978	68	4 4 0
54.39	1.687	40	6 2 2
57.03	1.615	23	4 4 4
76.09	1.251	28	8 4 0

Structural model:
a b c (Å): 11.1889 11.1889 11.1889
angles (deg): 90.00 90.00 90.00
Space group Fm-3m (No. 225)
Symmetry-distinct sites (fractional):
Cs (0.2500, 0.2500, 0.2500) [8 per cell]
Na (0.0000, 0.0000, 0.0000) [4 per cell]
Mo (0.0000, 0.0000, 0.5000) [4 per cell]
Br (0.0000, 0.0000, 0.2656) [24 per cell]